This entry pairs a crystal structure of NaCdH3C3O6 with its computed powder X-ray diffraction pattern. Radiation: Cu Kα. Structure: a cell relaxed with PBE.
Intensities are scaled so that the largest is 100.

Top 8 peaks for 2θ = 15–90°, sorted by position:
| 2θ/deg | I (rel.) |
| --- | --- |
| 17.23 | 80 |
| 18.34 | 52 |
| 21.98 | 100 |
| 30.49 | 65 |
| 30.88 | 61 |
| 32.44 | 31 |
| 37.56 | 49 |
| 46.88 | 30 |

Structural model:
```
data_NaCdH3C3O6
_cell_length_a 6.540
_cell_length_b 7.376
_cell_length_c 14.371
_cell_angle_alpha 90.00
_cell_angle_beta 90.00
_cell_angle_gamma 90.00
_space_group_name_H-M_alt 'P 1'
_space_group_IT_number 1
_space_group_name_Hall 'P 1'
loop_
_atom_site_label
_atom_site_type_symbol
_atom_site_fract_x
_atom_site_fract_y
_atom_site_fract_z
Na1 Na 0.250 0.000 0.221
Na2 Na 0.250 0.000 0.721
Na3 Na 0.750 0.000 0.279
Na4 Na 0.750 0.000 0.779
Cd1 Cd 0.250 0.500 0.072
Cd2 Cd 0.250 0.500 0.572
Cd3 Cd 0.750 0.500 0.428
Cd4 Cd 0.750 0.500 0.928
H1 H 0.000 0.451 0.250
H2 H 0.000 0.549 0.750
H3 H 0.208 0.168 0.930
H4 H 0.208 0.832 0.430
H5 H 0.292 0.168 0.430
H6 H 0.292 0.832 0.930
H7 H 0.500 0.451 0.750
H8 H 0.500 0.549 0.250
H9 H 0.708 0.168 0.070
H10 H 0.708 0.832 0.570
H11 H 0.792 0.168 0.570
H12 H 0.792 0.832 0.070
C1 C 0.000 0.399 0.750
C2 C 0.000 0.601 0.250
C3 C 0.132 0.205 0.413
C4 C 0.132 0.795 0.913
C5 C 0.368 0.205 0.913
C6 C 0.368 0.795 0.413
C7 C 0.500 0.399 0.250
C8 C 0.500 0.601 0.750
C9 C 0.632 0.205 0.587
C10 C 0.632 0.795 0.087
C11 C 0.868 0.205 0.087
C12 C 0.868 0.795 0.587
O1 O 0.039 0.114 0.353
O2 O 0.039 0.886 0.853
O3 O 0.059 0.342 0.458
O4 O 0.059 0.658 0.958
O5 O 0.106 0.318 0.689
O6 O 0.106 0.682 0.189
O7 O 0.394 0.318 0.189
O8 O 0.394 0.682 0.689
O9 O 0.441 0.342 0.958
O10 O 0.441 0.658 0.458
O11 O 0.461 0.114 0.853
O12 O 0.461 0.886 0.353
O13 O 0.539 0.114 0.647
O14 O 0.539 0.886 0.147
O15 O 0.559 0.342 0.542
O16 O 0.559 0.658 0.042
O17 O 0.606 0.318 0.311
O18 O 0.606 0.682 0.811
O19 O 0.894 0.318 0.811
O20 O 0.894 0.682 0.311
O21 O 0.941 0.342 0.042
O22 O 0.941 0.658 0.542
O23 O 0.961 0.114 0.147
O24 O 0.961 0.886 0.647
```

This entry pairs a crystal structure of Na4Cd3H2C4O14 with its computed powder X-ray diffraction pattern. Radiation: Cu Kα. Structure: a cell relaxed with PBE.
Intensities are scaled so that the largest is 100.

Top 8 peaks for 2θ = 15–90°, sorted by position:
| 2θ/deg | I (rel.) |
| --- | --- |
| 27.92 | 41 |
| 28.73 | 68 |
| 29.10 | 51 |
| 31.35 | 100 |
| 31.68 | 33 |
| 32.77 | 57 |
| 39.62 | 31 |
| 49.76 | 35 |

Structural model:
```
data_Na4Cd3H2C4O14
_cell_length_a 9.453
_cell_length_b 3.499
_cell_length_c 19.413
_cell_angle_alpha 90.00
_cell_angle_beta 99.14
_cell_angle_gamma 90.00
_space_group_name_H-M_alt 'P 1'
_space_group_IT_number 1
_space_group_name_Hall 'P 1'
loop_
_atom_site_label
_atom_site_type_symbol
_atom_site_fract_x
_atom_site_fract_y
_atom_site_fract_z
Na1 Na 0.042 0.048 0.326
Na2 Na 0.042 0.452 0.826
Na3 Na 0.143 0.244 0.550
Na4 Na 0.143 0.256 0.050
Na5 Na 0.857 0.744 0.950
Na6 Na 0.857 0.756 0.450
Na7 Na 0.958 0.548 0.174
Na8 Na 0.958 0.952 0.674
Cd1 Cd 0.418 0.058 0.820
Cd2 Cd 0.418 0.442 0.320
Cd3 Cd 0.500 0.000 0.500
Cd4 Cd 0.500 0.500 0.000
Cd5 Cd 0.582 0.558 0.680
Cd6 Cd 0.582 0.942 0.180
H1 H 0.384 0.522 0.121
H2 H 0.384 0.978 0.621
H3 H 0.616 0.022 0.379
H4 H 0.616 0.478 0.879
C1 C 0.214 0.604 0.434
C2 C 0.214 0.896 0.934
C3 C 0.232 0.580 0.696
C4 C 0.232 0.920 0.196
C5 C 0.768 0.080 0.804
C6 C 0.768 0.420 0.304
C7 C 0.786 0.104 0.066
C8 C 0.786 0.396 0.566
O1 O 0.104 0.737 0.954
O2 O 0.104 0.763 0.454
O3 O 0.124 0.057 0.219
O4 O 0.124 0.443 0.719
O5 O 0.213 0.541 0.368
O6 O 0.213 0.959 0.868
O7 O 0.220 0.745 0.636
O8 O 0.220 0.755 0.136
O9 O 0.323 0.506 0.481
O10 O 0.323 0.994 0.981
O11 O 0.362 0.555 0.735
O12 O 0.362 0.945 0.235
O13 O 0.483 0.051 0.613
O14 O 0.483 0.449 0.113
O15 O 0.517 0.551 0.887
O16 O 0.517 0.949 0.387
O17 O 0.638 0.055 0.765
O18 O 0.638 0.445 0.265
O19 O 0.677 0.006 0.019
O20 O 0.677 0.494 0.519
O21 O 0.780 0.245 0.864
O22 O 0.780 0.255 0.364
O23 O 0.787 0.041 0.132
O24 O 0.787 0.459 0.632
O25 O 0.876 0.557 0.281
O26 O 0.876 0.943 0.781
O27 O 0.896 0.237 0.546
O28 O 0.896 0.263 0.046
```

This entry pairs a crystal structure of CdH4C4O6 with its computed powder X-ray diffraction pattern. Radiation: Cu Kα. Structure: a cell relaxed with PBE.
Intensities are scaled so that the largest is 100.

Top 8 peaks for 2θ = 15–90°, sorted by position:
| 2θ/deg | I (rel.) |
| --- | --- |
| 18.12 | 36 |
| 20.80 | 100 |
| 29.24 | 21 |
| 31.42 | 15 |
| 34.91 | 35 |
| 46.85 | 15 |
| 47.15 | 17 |
| 48.06 | 15 |

Structural model:
```
data_CdH4C4O6
_cell_length_a 8.547
_cell_length_b 8.547
_cell_length_c 8.547
_cell_angle_alpha 88.68
_cell_angle_beta 88.68
_cell_angle_gamma 88.68
_space_group_name_H-M_alt 'P 1'
_space_group_IT_number 1
_space_group_name_Hall 'P 1'
loop_
_atom_site_label
_atom_site_type_symbol
_atom_site_fract_x
_atom_site_fract_y
_atom_site_fract_z
Cd1 Cd 0.000 0.500 0.500
Cd2 Cd 0.500 0.000 0.500
Cd3 Cd 0.500 0.500 0.000
H1 H 0.262 0.554 0.307
H2 H 0.262 0.685 0.440
H3 H 0.307 0.262 0.554
H4 H 0.315 0.560 0.738
H5 H 0.440 0.262 0.685
H6 H 0.446 0.693 0.738
H7 H 0.554 0.307 0.262
H8 H 0.560 0.738 0.315
H9 H 0.685 0.440 0.262
H10 H 0.693 0.738 0.446
H11 H 0.738 0.315 0.560
H12 H 0.738 0.446 0.693
C1 C 0.048 0.111 0.498
C2 C 0.051 0.506 0.888
C3 C 0.111 0.498 0.048
C4 C 0.112 0.949 0.494
C5 C 0.494 0.112 0.949
C6 C 0.498 0.048 0.111
C7 C 0.502 0.952 0.889
C8 C 0.506 0.888 0.051
C9 C 0.888 0.051 0.506
C10 C 0.889 0.502 0.952
C11 C 0.949 0.494 0.112
C12 C 0.952 0.889 0.502
O1 O 0.109 0.244 0.495
O2 O 0.113 0.514 0.752
O3 O 0.241 0.574 0.420
O4 O 0.244 0.495 0.109
O5 O 0.248 0.887 0.486
O6 O 0.420 0.241 0.574
O7 O 0.426 0.580 0.759
O8 O 0.486 0.248 0.887
O9 O 0.495 0.109 0.244
O10 O 0.505 0.891 0.756
O11 O 0.514 0.752 0.113
O12 O 0.574 0.420 0.241
O13 O 0.580 0.759 0.426
O14 O 0.752 0.113 0.514
O15 O 0.756 0.505 0.891
O16 O 0.759 0.426 0.580
O17 O 0.887 0.486 0.248
O18 O 0.891 0.756 0.505
```

This entry pairs a crystal structure of CdH4C4O6 with its computed powder X-ray diffraction pattern. Radiation: Cu Kα. Structure: a cell relaxed with PBE.
Intensities are scaled so that the largest is 100.

Top 8 peaks for 2θ = 15–90°, sorted by position:
| 2θ/deg | I (rel.) |
| --- | --- |
| 17.35 | 28 |
| 20.15 | 100 |
| 21.86 | 48 |
| 26.97 | 29 |
| 27.53 | 30 |
| 28.16 | 29 |
| 29.11 | 60 |
| 33.86 | 30 |

Structural model:
```
data_CdH4C4O6
_cell_length_a 8.329
_cell_length_b 12.260
_cell_length_c 6.490
_cell_angle_alpha 90.00
_cell_angle_beta 102.47
_cell_angle_gamma 90.00
_space_group_name_H-M_alt 'P 1'
_space_group_IT_number 1
_space_group_name_Hall 'P 1'
loop_
_atom_site_label
_atom_site_type_symbol
_atom_site_fract_x
_atom_site_fract_y
_atom_site_fract_z
Cd1 Cd 0.227 0.132 0.177
Cd2 Cd 0.227 0.368 0.677
Cd3 Cd 0.773 0.632 0.323
Cd4 Cd 0.773 0.868 0.823
H1 H 0.051 0.556 0.761
H2 H 0.051 0.944 0.261
H3 H 0.243 0.591 0.824
H4 H 0.243 0.909 0.324
H5 H 0.253 0.141 0.645
H6 H 0.253 0.359 0.145
H7 H 0.424 0.191 0.606
H8 H 0.424 0.309 0.106
H9 H 0.576 0.691 0.894
H10 H 0.576 0.809 0.394
H11 H 0.747 0.641 0.855
H12 H 0.747 0.859 0.355
H13 H 0.757 0.091 0.676
H14 H 0.757 0.409 0.176
H15 H 0.949 0.056 0.739
H16 H 0.949 0.444 0.239
C1 C 0.161 0.657 0.334
C2 C 0.161 0.843 0.834
C3 C 0.228 0.547 0.316
C4 C 0.228 0.953 0.816
C5 C 0.322 0.704 0.326
C6 C 0.322 0.796 0.826
C7 C 0.387 0.594 0.303
C8 C 0.387 0.906 0.803
C9 C 0.613 0.094 0.197
C10 C 0.613 0.406 0.697
C11 C 0.678 0.204 0.174
C12 C 0.678 0.296 0.674
C13 C 0.772 0.047 0.184
C14 C 0.772 0.453 0.684
C15 C 0.839 0.157 0.166
C16 C 0.839 0.343 0.666
O1 O 0.027 0.699 0.356
O2 O 0.027 0.801 0.856
O3 O 0.165 0.529 0.816
O4 O 0.165 0.971 0.316
O5 O 0.173 0.051 0.818
O6 O 0.173 0.449 0.318
O7 O 0.299 0.194 0.556
O8 O 0.299 0.306 0.056
O9 O 0.381 0.701 0.839
O10 O 0.381 0.799 0.339
O11 O 0.478 0.055 0.218
O12 O 0.478 0.445 0.718
O13 O 0.522 0.555 0.282
O14 O 0.522 0.945 0.782
O15 O 0.619 0.201 0.661
O16 O 0.619 0.299 0.161
O17 O 0.701 0.694 0.944
O18 O 0.701 0.806 0.444
O19 O 0.827 0.551 0.682
O20 O 0.827 0.949 0.182
O21 O 0.835 0.029 0.684
O22 O 0.835 0.471 0.184
O23 O 0.973 0.199 0.144
O24 O 0.973 0.301 0.644
```

This entry pairs a crystal structure of CdH10C8O12 with its computed powder X-ray diffraction pattern. Radiation: Cu Kα. Structure: a cell relaxed with PBE.
Intensities are scaled so that the largest is 100.

Top 8 peaks for 2θ = 15–90°, sorted by position:
| 2θ/deg | I (rel.) |
| --- | --- |
| 18.26 | 49 |
| 18.38 | 45 |
| 19.75 | 22 |
| 20.64 | 48 |
| 21.09 | 38 |
| 25.79 | 100 |
| 33.86 | 22 |
| 37.96 | 23 |

Structural model:
```
data_CdH10C8O12
_cell_length_a 5.375
_cell_length_b 7.990
_cell_length_c 9.170
_cell_angle_alpha 102.89
_cell_angle_beta 100.52
_cell_angle_gamma 109.37
_space_group_name_H-M_alt 'P 1'
_space_group_IT_number 1
_space_group_name_Hall 'P 1'
loop_
_atom_site_label
_atom_site_type_symbol
_atom_site_fract_x
_atom_site_fract_y
_atom_site_fract_z
Cd1 Cd 0.000 0.000 0.000
H1 H 0.000 0.000 0.500
H2 H 0.085 0.837 0.720
H3 H 0.260 0.785 0.853
H4 H 0.452 0.369 0.130
H5 H 0.478 0.294 0.963
H6 H 0.500 0.500 0.500
H7 H 0.522 0.706 0.037
H8 H 0.548 0.631 0.870
H9 H 0.740 0.215 0.147
H10 H 0.915 0.163 0.280
C1 C 0.181 0.806 0.437
C2 C 0.227 0.824 0.288
C3 C 0.311 0.674 0.435
C4 C 0.359 0.686 0.283
C5 C 0.641 0.314 0.717
C6 C 0.689 0.326 0.565
C7 C 0.773 0.176 0.712
C8 C 0.819 0.194 0.563
O1 O 0.077 0.883 0.535
O2 O 0.087 0.804 0.818
O3 O 0.186 0.921 0.205
O4 O 0.365 0.590 0.533
O5 O 0.447 0.255 0.057
O6 O 0.469 0.616 0.191
O7 O 0.531 0.384 0.809
O8 O 0.553 0.745 0.943
O9 O 0.635 0.410 0.467
O10 O 0.814 0.079 0.795
O11 O 0.913 0.196 0.182
O12 O 0.923 0.117 0.465
```